The following is a calculated X-ray diffraction stick pattern of NdCrO5. It was derived from a structure optimized by DFT (PBE+U), using Cu Kα (λ = 1.5418 Å).
Lines closer than 0.1° are merged.

Principal peaks in the range 2θ from 10° to 80°, by angle:
2θ/deg, d_spacing, intensity, index
16.8, 5.270, 25, 1 1 0
22.5, 3.948, 93, 1 0 1
23.9, 3.727, 100, 2 0 0
33.1, 2.710, 28, 2 1 1
34.0, 2.635, 22, 2 2 0
38.2, 2.357, 17, 3 1 0
41.2, 2.192, 32, 3 0 1
42.5, 2.129, 30, 1 1 2
48.2, 1.889, 22, 3 2 1
55.5, 1.656, 36, 3 1 2

Structure:
a b c (Å): 7.453 7.453 4.655
angles (deg): 90.00 90.00 90.00
Element x y z (fractional)
Nd 0.250 0.250 0.241
Nd 0.750 0.750 0.759
Cr 0.250 0.750 0.500
Cr 0.750 0.250 0.500
O 0.068 0.750 0.706
O 0.250 0.250 0.744
O 0.250 0.568 0.294
O 0.250 0.932 0.294
O 0.432 0.750 0.706
O 0.568 0.250 0.294
O 0.750 0.068 0.706
O 0.750 0.432 0.706
O 0.750 0.750 0.256
O 0.932 0.250 0.294